Structure and simulated powder diffraction line list of LuNi2 (DFT lattice parameters and positions (PBE); Cu Ka).
No peak broadening, texture or thermal motion is included.

Structure:
Cell: 4.9891 4.9891 4.9891 Å, 60.00 60.00 60.00°
Element x y z (fractional)
1 Lu 0.1250 0.1250 0.1250
2 Lu 0.8750 0.8750 0.8750
3 Ni 0.0000 0.5000 0.5000
4 Ni 0.5000 0.0000 0.5000
5 Ni 0.5000 0.5000 0.0000
6 Ni 0.5000 0.5000 0.5000

Principal peaks in the range 2θ from 5° to 70°, sorted by position:
two_theta	Rel. int.
21.82	17
36.00	68
42.49	100
44.48	14
51.83	1
56.88	4
64.73	25
69.19	30